[1]
Diffraction record for Ce4TmTl3. The powder diffraction line list is computed, not measured: it uses a cell relaxed with GGA-PBE and Cu Kα.
No peak broadening, texture or thermal motion is included.

Principal peaks in the range 5° ≤ 2θ ≤ 70°, by angle:
2θ 32.73, rel. 100; 2θ 36.54, rel. 15; 2θ 36.94, rel. 20; 2θ 40.34, rel. 15; 2θ 52.93, rel. 10; 2θ 55.84, rel. 13; 2θ 63.91, rel. 15; 2θ 68.57, rel. 22

Structural model:
Cell lengths 10.3760, 10.3760, 4.4713 Å; angles 102.40, 102.40, 27.13 degrees
Sites, in units of the cell vectors:
Ce  0.1368  0.1368  0.1358
Ce  0.2300  0.2300  0.7309
Ce  0.7700  0.7700  0.2691
Ce  0.8632  0.8632  0.8642
Tm  0.0000  0.0000  0.5000
Tl  0.3787  0.3787  0.3796
Tl  0.5000  0.5000  0.0000
Tl  0.6213  0.6213  0.6204

[2]
Diffraction record for NaTa5S8. The powder diffraction line list is computed, not measured: it uses a cell relaxed with GGA-PBE and Cu Kα.
No peak broadening, texture or thermal motion is included.

Principal peaks in the range 5° ≤ 2θ ≤ 70°, by angle:
2θ 9.73, rel. 82; 2θ 10.66, rel. 100; 2θ 12.22, rel. 56; 2θ 19.53, rel. 53; 2θ 31.43, rel. 87; 2θ 39.73, rel. 57; 2θ 40.13, rel. 67; 2θ 55.30, rel. 46

Structural model:
Cell lengths 8.8160, 8.8160, 9.4847 Å; angles 106.27, 106.27, 21.73 degrees
Sites, in units of the cell vectors:
Na  0.0000  0.0000  0.0000
Ta  0.1655  0.1655  0.4308
Ta  0.1938  0.1938  0.8029
Ta  0.4672  0.4672  0.4374
Ta  0.7702  0.7702  0.0543
Ta  0.8141  0.8141  0.4359
S  0.0646  0.0646  0.5850
S  0.2339  0.2339  0.2398
S  0.3388  0.3388  0.9383
S  0.3965  0.3965  0.6193
S  0.5694  0.5694  0.2777
S  0.6244  0.6244  0.9184
S  0.7350  0.7350  0.6238
S  0.8997  0.8997  0.2576

[3]
Diffraction record for SrAu5. The powder diffraction line list is computed, not measured: it uses a cell relaxed with GGA-PBE and Cu Kα.
No peak broadening, texture or thermal motion is included.

Principal peaks in the range 5° ≤ 2θ ≤ 70°, by angle:
2θ 17.77, rel. 59; 2θ 35.99, rel. 27; 2θ 36.77, rel. 100; 2θ 39.04, rel. 35; 2θ 41.12, rel. 79; 2θ 54.14, rel. 17; 2θ 59.02, rel. 26; 2θ 64.70, rel. 24

Structural model:
Cell lengths 5.7628, 5.7628, 4.6145 Å; angles 90.00, 90.00, 120.00 degrees
Sites, in units of the cell vectors:
Sr  0.0000  0.0000  0.0000
Au  0.0000  0.5000  0.5000
Au  0.3333  0.6667  0.0000
Au  0.5000  0.0000  0.5000
Au  0.5000  0.5000  0.5000
Au  0.6667  0.3333  0.0000

What is the formula in the third record?
SrAu5